Entry 1:
# ScAs5
Simulated powder XRD pattern, CuKα. Input: a DFT-relaxed cell (PBE, Alexandria).
No peak broadening, texture or thermal motion is included.

Cell and atoms:
```
data_ScAs5
_symmetry_space_group_name_H-M 'C 1 m 1'
_symmetry_Int_Tables_number 8
_symmetry_space_group_name_Hall 'C -2y'
_cell_length_a 10.795
_cell_length_b 3.763
_cell_length_c 7.065
_cell_angle_alpha 90.00
_cell_angle_beta 115.87
_cell_angle_gamma 90.00
loop_
_atom_site_label
_atom_site_fract_x
_atom_site_fract_y
_atom_site_fract_z
_atom_site_occupancy
Sc1 0.000 0.000 0.000 1
As1 0.178 0.500 0.309 1
As2 0.227 0.000 0.583 1
As3 0.290 0.000 0.045 1
As4 0.413 0.500 0.338 1
As5 0.473 0.000 0.689 1
```

Main lines, in order of falling intensity (2θ from 15° to 90°):
2theta	I/Imax	h k l
34.97	100	1 1 -2
30.99	39	1 1 1
33.26	38	4 0 -1
42.67	28	0 0 3
43.71	26	3 1 1
48.37	25	0 2 0
53.96	18	5 1 -3
27.02	17	1 1 -1
66.45	17	0 2 3
36.61	16	3 1 0
34.55	15	3 1 -1
59.97	15	4 2 -1

=====

Entry 2:
# Mg3AgPd
Simulated powder XRD pattern, CuKα. Input: a DFT-relaxed cell (PBE, Alexandria).
No peak broadening, texture or thermal motion is included.

Cell and atoms:
```
data_Mg3AgPd
_symmetry_space_group_name_H-M 'C 1 2/c 1'
_symmetry_Int_Tables_number 15
_symmetry_space_group_name_Hall '-C 2yc'
_cell_length_a 14.573
_cell_length_b 9.618
_cell_length_c 5.772
_cell_angle_alpha 90.00
_cell_angle_beta 91.14
_cell_angle_gamma 90.00
loop_
_atom_site_label
_atom_site_fract_x
_atom_site_fract_y
_atom_site_fract_z
_atom_site_occupancy
Mg1 0.094 0.044 0.386 1
Mg2 0.100 0.437 0.635 1
Mg3 0.214 0.279 0.232 1
Ag1 0.000 0.199 0.750 1
Ag2 0.000 0.302 0.250 1
Pd1 0.249 0.021 0.091 1
```

Main lines, in order of falling intensity (2θ from 15° to 90°):
2theta	I/Imax	h k l
22.15	100	2 2 0
24.44	61	4 0 0
41.67	38	6 2 0
40.65	29	0 4 1
36.31	28	0 2 2
37.13	25	3 1 -2
37.76	19	3 1 2
33.15	17	2 0 -2
44.62	14	4 2 2
33.63	13	2 0 2
43.88	13	4 2 -2
37.40	12	0 4 0

=====

Entry 3:
# La3Tl2Pd2Au4
Simulated powder XRD pattern, CuKα. Input: a DFT-relaxed cell (PBE, Alexandria).
No peak broadening, texture or thermal motion is included.

Cell and atoms:
```
data_La3Tl2Pd2Au4
_symmetry_space_group_name_H-M 'P -3 m 1'
_symmetry_Int_Tables_number 164
_symmetry_space_group_name_Hall '-P 3 2"'
_cell_length_a 4.7262
_cell_length_b 4.7262
_cell_length_c 14.5722
_cell_angle_alpha 90.00
_cell_angle_beta 90.00
_cell_angle_gamma 120.00
loop_
_atom_site_label
_atom_site_fract_x
_atom_site_fract_y
_atom_site_fract_z
_atom_site_occupancy
La1 0.0000 0.0000 0.0000 1
La2 0.0000 0.0000 0.2527 1
Tl1 0.3333 0.6667 0.5675 1
Pd1 0.3333 0.6667 0.1429 1
Au1 0.3333 0.6667 0.3584 1
Au2 0.3333 0.6667 0.8786 1
```

Main lines, in order of falling intensity (2θ from 15° to 90°):
2theta	I/Imax	h k l
38.08	100	1 1 0
32.91	86	0 1 4
51.20	25	2 0 4
28.52	25	1 0 3
65.56	24	1 2 4
37.90	23	1 0 5
43.32	20	1 0 6
24.95	18	0 1 2
68.81	18	3 0 0
45.77	13	1 1 4
22.56	12	0 1 1
81.46	11	2 2 0

=====

Entry 4:
# DyHo14Pu
Simulated powder XRD pattern, CuKα. Input: a DFT-relaxed cell (PBE, Alexandria).
No peak broadening, texture or thermal motion is included.

Cell and atoms:
```
data_DyHo14Pu
_symmetry_space_group_name_H-M 'A m m 2'
_symmetry_Int_Tables_number 38
_symmetry_space_group_name_Hall 'A 2 -2'
_cell_length_a 11.176
_cell_length_b 7.177
_cell_length_c 12.421
_cell_angle_alpha 90.00
_cell_angle_beta 90.00
_cell_angle_gamma 90.00
loop_
_atom_site_label
_atom_site_fract_x
_atom_site_fract_y
_atom_site_fract_z
_atom_site_occupancy
Dy1 0.000 0.000 0.000 1
Ho1 0.000 0.250 0.250 1
Ho2 0.248 0.000 0.335 1
Ho3 0.248 0.247 0.582 1
Ho4 0.252 0.000 0.833 1
Ho5 0.500 0.000 0.000 1
Ho6 0.500 0.000 0.500 1
Ho7 0.500 0.250 0.250 1
Pu1 0.000 0.000 0.500 1
```

Main lines, in order of falling intensity (2θ from 15° to 90°):
2theta	I/Imax	h k l
32.99	100	2 2 2
32.03	24	4 0 0
28.74	24	0 0 4
61.43	23	4 4 0
57.71	20	6 2 2
50.91	20	0 4 0
62.01	16	2 0 8
43.57	16	4 0 4
84.27	14	2 4 8
88.77	9	8 4 0
80.52	8	6 0 8
69.20	4	4 4 4